[1]
Calculated powder XRD pattern of KReAs2O8 for CuKα, from a DFT-relaxed cell (GGA-PBE, Alexandria).

Structural model:
Unit cell a=5.0220 b=5.0220 c=26.8758 alpha=90.00 beta=90.00 gamma=120.00
Space group R-3 (No. 148, hexagonal axes)
Symmetry-distinct sites (fractional):
K (0.0000, 0.0000, 0.0000) (multiplicity 3)
Re (0.0000, 0.0000, 0.5000) (multiplicity 3)
As (0.0000, 0.0000, 0.2340) (multiplicity 6)
O (0.0000, 0.0000, 0.2959) (multiplicity 6)
O (0.0070, 0.6432, 0.1232) (multiplicity 18)

Top 10 peaks for 10 to 80 degrees two-theta, by angle:
| 2θ/deg | intensity | h k l |
| --- | --- | --- |
| 20.7 | 20 | 1 0 1 |
| 24.4 | 100 | 1 0 4 |
| 31.1 | 16 | 1 0 7 |
| 33.7 | 25 | 0 1 8 |
| 35.8 | 32 | 1 1 0 |
| 42.4 | 11 | 0 1 11 |
| 43.8 | 18 | 0 2 4 |
| 54.9 | 12 | 1 1 12 |
| 57.7 | 17 | 3 -1 4 |
| 63.8 | 11 | 1 1 15 |


[2]
Calculated powder XRD pattern of Dy3GaSi for CuKα, from a DFT-relaxed cell (GGA-PBE, Alexandria).

Structural model:
Unit cell a=4.0701 b=7.7310 c=8.2553 alpha=87.63 beta=89.96 gamma=74.80
Space group P-1 (No. 2)
Symmetry-distinct sites (fractional):
Dy (0.0483, 0.4033, 0.1812) (multiplicity 2)
Dy (0.2355, 0.0285, 0.8233) (multiplicity 2)
Dy (0.4026, 0.6926, 0.4164) (multiplicity 2)
Ga (0.2057, 0.0898, 0.4299) (multiplicity 2)
Si (0.3940, 0.7113, 0.0619) (multiplicity 2)

Top 10 peaks for 10 to 80 degrees two-theta, by angle:
| 2θ/deg | intensity | h k l |
| --- | --- | --- |
| 25.8 | 31 | 0 2 1 |
| 30.1 | 100 | 1 2 1 |
| 30.7 | 51 | 1 -1 1 |
| 31.3 | 100 | 1 0 -2 |
| 32.6 | 30 | 0 0 3 |
| 33.1 | 65 | 0 2 -2 |
| 37.4 | 52 | 1 -2 0 |
| 39.9 | 35 | 0 2 3 |
| 40.3 | 45 | 1 0 3 |
| 44.5 | 42 | 2 1 0 |


[3]
Calculated powder XRD pattern of CaSm2PaN4 for CuKα, from a DFT-relaxed cell (GGA-PBE, Alexandria).

Structural model:
Unit cell a=6.0772 b=3.5763 c=6.1282 alpha=90.00 beta=108.68 gamma=90.00
Space group P2/m (No. 10)
Symmetry-distinct sites (fractional):
Ca (0.0000, 0.0000, 0.0000) (multiplicity 1)
Sm (0.0000, 0.5000, 0.5000) (multiplicity 1)
Sm (0.5000, 0.0000, 0.5000) (multiplicity 1)
Pa (0.5000, 0.5000, 0.0000) (multiplicity 1)
N (0.2679, 0.0000, 0.7651) (multiplicity 2)
N (0.2757, 0.5000, 0.2368) (multiplicity 2)

Top 10 peaks for 10 to 80 degrees two-theta, by angle:
| 2θ/deg | intensity | h k l |
| --- | --- | --- |
| 15.4 | 23 | 1 0 0 |
| 17.9 | 15 | 1 0 -1 |
| 30.8 | 100 | 0 0 2 |
| 31.1 | 33 | 2 0 0 |
| 35.6 | 67 | 1 1 1 |
| 36.2 | 32 | 2 0 -2 |
| 51.5 | 23 | 1 1 -3 |
| 51.9 | 22 | 3 1 -1 |
| 61.0 | 20 | 2 2 0 |
| 64.2 | 17 | 0 0 4 |


[4]
Calculated powder XRD pattern of Mn3Ni3N for CuKα, from a DFT-relaxed cell (GGA-PBE, Alexandria).

Structural model:
Unit cell a=10.6631 b=10.6631 c=10.6631 alpha=90.00 beta=90.00 gamma=90.00
Space group Fd-3m (No. 227, origin choice 2)
Symmetry-distinct sites (fractional):
Mn (0.0639, 0.3750, 0.3750) (multiplicity 48)
Ni (0.0000, 0.0000, 0.5000) (multiplicity 16)
Ni (0.0400, 0.0400, 0.7100) (multiplicity 32)
N (0.0000, 0.0000, 0.0000) (multiplicity 16)

Top 10 peaks for 10 to 80 degrees two-theta, by angle:
| 2θ/deg | intensity | h k l |
| --- | --- | --- |
| 14.4 | 11 | 1 1 1 |
| 36.7 | 6 | 3 3 1 |
| 41.5 | 29 | 4 2 2 |
| 44.1 | 100 | 3 3 3 |
| 48.3 | 31 | 4 4 0 |
| 50.6 | 4 | 5 3 1 |
| 51.4 | 11 | 4 4 2 |
| 57.3 | 6 | 6 2 2 |
| 75.7 | 26 | 6 6 0 |
| 77.5 | 7 | 5 5 5 |


[5]
Calculated powder XRD pattern of ScCoRu for CuKα, from a DFT-relaxed cell (GGA-PBE, Alexandria).

Structural model:
Unit cell a=4.9537 b=5.0673 c=7.1742 alpha=90.00 beta=90.00 gamma=90.00
Space group Imma (No. 74)
Symmetry-distinct sites (fractional):
Sc (0.0000, 0.2500, 0.1248) (multiplicity 4)
Co (0.2500, 0.2500, 0.7500) (multiplicity 4)
Ru (0.0000, 0.0000, 0.5000) (multiplicity 4)

Top 10 peaks for 10 to 80 degrees two-theta, by angle:
| 2θ/deg | intensity | h k l |
| --- | --- | --- |
| 21.8 | 53 | 1 0 1 |
| 35.6 | 12 | 1 1 2 |
| 41.8 | 16 | 0 1 3 |
| 42.0 | 100 | 1 2 1 |
| 42.5 | 31 | 2 1 1 |
| 43.7 | 45 | 0 2 2 |
| 44.4 | 43 | 2 0 2 |
| 51.6 | 15 | 2 2 0 |
| 69.1 | 21 | 3 2 1 |
| 75.4 | 26 | 2 2 4 |


[6]
Calculated powder XRD pattern of GeS2 for CuKα, from a DFT-relaxed cell (GGA-PBE, Alexandria).

Structural model:
Unit cell a=3.5118 b=3.5118 c=12.4453 alpha=90.00 beta=90.00 gamma=90.00
Space group P4_2/nmc (No. 137, origin choice 2)
Symmetry-distinct sites (fractional):
Ge (0.2500, 0.7500, 0.2500) (multiplicity 2)
S (0.2500, 0.2500, 0.1358) (multiplicity 4)

Top 10 peaks for 10 to 80 degrees two-theta, by angle:
| 2θ/deg | intensity | h k l |
| --- | --- | --- |
| 14.2 | 100 | 0 0 2 |
| 26.4 | 72 | 1 0 1 |
| 29.2 | 45 | 1 0 2 |
| 33.4 | 39 | 1 0 3 |
| 39.1 | 20 | 1 1 2 |
| 44.6 | 17 | 1 0 5 |
| 46.8 | 49 | 1 1 4 |
| 52.1 | 18 | 2 0 0 |
| 57.9 | 14 | 1 1 6 |
| 59.3 | 15 | 2 1 1 |